1.
This entry pairs a crystal structure of BSbO3 with its simulated powder diffractogram. Radiation: CuKα. Structure: a structure optimized by DFT (PBE).
Peak positions follow from Bragg's law for the DFT cell and can differ from measured ones.

Structural model:
```
5
Lattice="3.5207 0.0000 0.0000 0.0000 3.5207 0.0000 0.0000 0.0000 3.5207" Properties=species:S:1:pos:R:3 pbc="T T T"
B 0.0000 0.0000 0.0000
Sb 1.7604 1.7604 1.7604
O 0.0000 0.0000 1.7604
O 0.0000 1.7604 0.0000
O 1.7604 0.0000 0.0000
```

Peak list (9 most intense, 10 to 90 degrees two-theta, low angle first)
3.521 Å, intensity 88; 2.490 Å, intensity 100; 2.033 Å, intensity 74; 1.760 Å, intensity 40; 1.575 Å, intensity 38; 1.437 Å, intensity 36; 1.245 Å, intensity 23; 1.174 Å, intensity 19; 1.113 Å, intensity 17



2.
This entry pairs a crystal structure of Sc4Ge19Rh6 with its simulated powder diffractogram. Radiation: CuKα. Structure: a structure optimized by DFT (PBE).
Peak positions follow from Bragg's law for the DFT cell and can differ from measured ones.

Structural model:
```
29
Lattice="-5.1035 5.1035 5.1035 5.1035 -5.1035 5.1035 5.1035 5.1035 -5.1035" Properties=species:S:1:pos:R:3 pbc="T T T"
Sc 1.8001 1.8001 -1.8001
Sc 1.8001 -1.8001 1.8001
Sc -1.8001 1.8001 1.8001
Sc 3.3034 3.3034 3.3034
Ge 0.0000 0.0000 0.0000
Ge 3.0618 0.0000 0.0000
Ge 7.1452 0.0000 0.0000
Ge 4.5342 2.2854 -2.2671
Ge 7.3706 -0.5693 2.8182
Ge 2.2854 -2.2671 4.5342
Ge 0.0000 3.0618 0.0000
Ge 0.0000 0.0000 3.0618
Ge 2.8364 0.5693 2.8182
Ge 2.8182 2.8364 0.5693
Ge 5.6728 2.2854 2.2671
Ge 0.5693 2.8182 2.8364
Ge 2.8182 7.3706 -0.5693
Ge -2.2671 4.5342 2.2854
Ge 0.0000 7.1452 0.0000
Ge 0.0000 0.0000 7.1452
Ge 2.2854 2.2671 5.6728
Ge 2.2671 5.6728 2.2854
Ge -0.5693 2.8182 7.3706
Rh 5.1035 1.4544 0.0000
Rh 5.1035 0.0000 3.6491
Rh 3.6491 5.1035 0.0000
Rh 1.4544 0.0000 5.1035
Rh 0.0000 5.1035 1.4544
Rh 0.0000 3.6491 5.1035
```

Peak list (10 most intense, 10 to 90 degrees two-theta, low angle first)
3.228 Å, intensity 46; 2.728 Å, intensity 78; 2.552 Å, intensity 70; 2.406 Å, intensity 100; 2.084 Å, intensity 63; 2.002 Å, intensity 93; 1.750 Å, intensity 40; 1.389 Å, intensity 25; 1.256 Å, intensity 27; 1.187 Å, intensity 26



3.
This entry pairs a crystal structure of PrSe2 with its simulated powder diffractogram. Radiation: CuKα. Structure: a structure optimized by DFT (PBE).
Peak positions follow from Bragg's law for the DFT cell and can differ from measured ones.

Structural model:
```
6
Lattice="4.1872 0.0000 0.0000 0.0000 4.1872 0.0000 0.0000 0.0000 8.6677" Properties=species:S:1:pos:R:3 pbc="T T T"
Pr 1.0468 1.0468 1.9547
Pr 3.1404 3.1404 6.7130
Se 1.0468 1.0468 7.5156
Se 1.0468 3.1404 4.3338
Se 3.1404 1.0468 4.3338
Se 3.1404 3.1404 1.1521
```

Peak list (10 most intense, 10 to 90 degrees two-theta, low angle first)
3.770 Å, intensity 41; 2.961 Å, intensity 34; 2.889 Å, intensity 34; 2.802 Å, intensity 71; 2.445 Å, intensity 100; 2.378 Å, intensity 57; 2.094 Å, intensity 58; 1.695 Å, intensity 28; 1.571 Å, intensity 31; 1.266 Å, intensity 25



4.
This entry pairs a crystal structure of Zn3FeN3 with its simulated powder diffractogram. Radiation: CuKα. Structure: a structure optimized by DFT (PBE).
Peak positions follow from Bragg's law for the DFT cell and can differ from measured ones.

Structural model:
```
14
Lattice="8.2431 0.0000 0.0000 0.0000 3.4479 0.0000 -4.1137 0.0000 7.2002" Properties=species:S:1:pos:R:3 pbc="T T T"
Zn -0.7138 0.8620 2.5912
Zn -1.5377 0.8620 6.5515
Zn 1.8774 2.5859 1.9410
Zn 2.2520 0.8620 5.2592
Zn 5.6671 2.5859 0.6486
Zn 4.8432 2.5859 4.6090
Fe -0.0165 2.5859 4.8019
Fe 4.1459 0.8620 2.3982
N -1.6883 2.5859 5.5843
N 0.1964 2.5859 2.9621
N 2.6415 0.8620 1.3219
N 1.4879 2.5859 5.8783
N 3.9330 0.8620 4.2381
N 5.8177 0.8620 1.6159
```

Peak list (10 most intense, 10 to 90 degrees two-theta, low angle first)
7.169 Å, intensity 23; 3.600 Å, intensity 18; 3.577 Å, intensity 38; 2.718 Å, intensity 21; 2.699 Å, intensity 19; 2.649 Å, intensity 100; 2.490 Å, intensity 28; 2.482 Å, intensity 57; 1.724 Å, intensity 30; 1.488 Å, intensity 16



5.
This entry pairs a crystal structure of Eu2ZnGe3 with its simulated powder diffractogram. Radiation: CuKα. Structure: a structure optimized by DFT (PBE).
Peak positions follow from Bragg's law for the DFT cell and can differ from measured ones.

Structural model:
```
12
Lattice="4.5110 -4.2341 0.0000 4.5110 4.2341 0.0000 -4.5021 0.0000 7.3475" Properties=species:S:1:pos:R:3 pbc="T T T"
Eu -0.0611 0.0000 3.6796
Eu 4.5110 2.1274 0.0000
Eu 4.5110 -2.1274 0.0000
Eu 4.5810 0.0000 3.6679
Zn 2.0337 0.0000 1.2356
Zn 2.4862 0.0000 6.1119
Ge -1.9675 0.0000 6.1506
Ge 2.5476 2.0907 2.4373
Ge 1.9724 2.0907 4.9102
Ge 2.5476 -2.0907 2.4373
Ge 1.9724 -2.0907 4.9102
Ge 6.4875 0.0000 1.1969
```

Peak list (10 most intense, 10 to 90 degrees two-theta, low angle first)
3.670 Å, intensity 11; 2.847 Å, intensity 100; 2.256 Å, intensity 11; 2.119 Å, intensity 38; 1.922 Å, intensity 11; 1.701 Å, intensity 11; 1.699 Å, intensity 10; 1.544 Å, intensity 20; 1.391 Å, intensity 10; 1.326 Å, intensity 12